Entry 1:
For Pr7Ho12In, a cell relaxed with PBE gives the simulated X-ray powder pattern in this record (Cu Kα).
Intensities are scaled so that the largest is 100.

Main lines, in order of falling intensity (2θ from 10° to 80°):
2θ = 30.66°, intensity 100
2θ = 35.50°, intensity 34
2θ = 51.15°, intensity 24
2θ = 60.73°, intensity 21
2θ = 35.64°, intensity 17
2θ = 60.92°, intensity 10
2θ = 63.79°, intensity 9
2θ = 60.84°, intensity 7

Cell and atoms:
Unit cell a=6.190 b=9.459 c=11.269 alpha=96.88 beta=100.27 gamma=90.08
Fractional positions:
Pr 0.000 0.000 0.000
Pr 0.151 0.353 0.944
Pr 0.205 0.802 0.599
Pr 0.249 0.256 0.252
Pr 0.751 0.744 0.748
Pr 0.795 0.198 0.401
Pr 0.849 0.647 0.056
Ho 0.055 0.450 0.644
Ho 0.094 0.903 0.303
Ho 0.302 0.699 0.903
Ho 0.351 0.154 0.550
Ho 0.401 0.601 0.209
Ho 0.453 0.052 0.847
Ho 0.547 0.948 0.153
Ho 0.599 0.399 0.791
Ho 0.649 0.846 0.450
Ho 0.698 0.301 0.097
Ho 0.906 0.097 0.697
Ho 0.945 0.550 0.356
In 0.500 0.500 0.500

=====

Entry 2:
For AuF, a cell relaxed with PBE gives the simulated X-ray powder pattern in this record (Cu Kα).
Intensities are scaled so that the largest is 100.

Main lines, in order of falling intensity (2θ from 10° to 80°):
2θ = 29.91°, intensity 100
2θ = 31.12°, intensity 57
2θ = 39.58°, intensity 50
2θ = 19.10°, intensity 33
2θ = 33.23°, intensity 31
2θ = 52.46°, intensity 27
2θ = 39.40°, intensity 24
2θ = 51.83°, intensity 23

Cell and atoms:
Unit cell a=6.040 b=5.880 c=5.404 alpha=64.56 beta=61.53 gamma=53.90
Fractional positions:
Au 0.063 0.687 0.687
Au 0.313 0.937 0.937
Au 0.687 0.063 0.063
Au 0.937 0.313 0.313
F 0.213 0.213 0.537
F 0.463 0.463 0.787
F 0.537 0.537 0.213
F 0.787 0.787 0.463

=====

Entry 3:
For MnTeCI2, a cell relaxed with PBE gives the simulated X-ray powder pattern in this record (Cu Kα).
Intensities are scaled so that the largest is 100.

Main lines, in order of falling intensity (2θ from 10° to 80°):
2θ = 31.14°, intensity 100
2θ = 35.40°, intensity 39
2θ = 60.92°, intensity 29
2θ = 52.52°, intensity 24
2θ = 37.50°, intensity 17
2θ = 50.94°, intensity 13
2θ = 64.94°, intensity 13
2θ = 63.73°, intensity 12

Cell and atoms:
Unit cell a=5.071 b=5.071 c=4.797 alpha=90.00 beta=90.00 gamma=90.00
Fractional positions:
Mn 0.000 0.000 0.000
Te 0.500 0.500 0.000
C 0.500 0.500 0.500
I 0.000 0.500 0.500
I 0.500 0.000 0.500

=====

Entry 4:
For K9Gd3Si12O32F2, a cell relaxed with PBE gives the simulated X-ray powder pattern in this record (Cu Kα).
Intensities are scaled so that the largest is 100.

Main lines, in order of falling intensity (2θ from 10° to 80°):
2θ = 27.08°, intensity 100
2θ = 26.49°, intensity 96
2θ = 28.01°, intensity 81
2θ = 29.25°, intensity 67
2θ = 16.16°, intensity 55
2θ = 28.41°, intensity 54
2θ = 30.17°, intensity 51
2θ = 27.62°, intensity 49

Cell and atoms:
Unit cell a=6.965 b=11.550 c=11.590 alpha=87.81 beta=89.72 gamma=80.33
Fractional positions:
K 0.000 0.000 0.000
K 0.228 0.384 0.982
K 0.331 0.192 0.222
K 0.337 0.151 0.787
K 0.483 0.669 0.491
K 0.517 0.331 0.509
K 0.663 0.849 0.213
K 0.669 0.808 0.778
K 0.772 0.616 0.018
Gd 0.013 0.511 0.664
Gd 0.500 0.000 0.500
Gd 0.987 0.489 0.336
Si 0.056 0.232 0.511
Si 0.156 0.909 0.303
Si 0.161 0.865 0.690
Si 0.191 0.695 0.159
Si 0.214 0.667 0.880
Si 0.484 0.486 0.257
Si 0.516 0.514 0.743
Si 0.786 0.333 0.120
Si 0.809 0.305 0.841
Si 0.839 0.135 0.310
Si 0.844 0.091 0.697
Si 0.944 0.768 0.489
O 0.004 0.649 0.212
O 0.007 0.795 0.625
O 0.030 0.374 0.514
O 0.042 0.603 0.838
O 0.043 0.996 0.727
O 0.112 0.815 0.406
O 0.194 0.836 0.182
O 0.201 0.688 0.018
O 0.215 0.798 0.817
O 0.272 0.164 0.541
O 0.311 0.426 0.312
O 0.340 0.509 0.654
O 0.341 0.967 0.332
O 0.354 0.875 0.618
O 0.403 0.624 0.209
O 0.434 0.587 0.861
O 0.566 0.413 0.139
O 0.597 0.376 0.791
O 0.646 0.125 0.382
O 0.659 0.033 0.668
O 0.660 0.491 0.346
O 0.689 0.574 0.688
O 0.728 0.836 0.459
O 0.785 0.202 0.183
O 0.799 0.312 0.982
O 0.806 0.164 0.818
O 0.888 0.185 0.594
O 0.957 0.004 0.273
O 0.958 0.397 0.162
O 0.970 0.626 0.486
O 0.993 0.205 0.375
O 0.996 0.351 0.788
F 0.256 0.156 0.005
F 0.744 0.844 0.995

=====

Entry 5:
For Cu2Sn3Pd8, a cell relaxed with PBE gives the simulated X-ray powder pattern in this record (Cu Kα).
Intensities are scaled so that the largest is 100.

Main lines, in order of falling intensity (2θ from 10° to 80°):
2θ = 39.50°, intensity 100
2θ = 40.03°, intensity 94
2θ = 41.07°, intensity 54
2θ = 33.57°, intensity 50
2θ = 42.21°, intensity 49
2θ = 64.40°, intensity 46
2θ = 70.57°, intensity 42
2θ = 38.74°, intensity 38

Cell and atoms:
Unit cell a=9.946 b=9.946 c=9.946 alpha=31.14 beta=31.14 gamma=31.14
Fractional positions:
Cu 0.133 0.133 0.133
Cu 0.867 0.867 0.867
Sn 0.311 0.311 0.311
Sn 0.500 0.500 0.500
Sn 0.689 0.689 0.689
Pd 0.219 0.219 0.219
Pd 0.227 0.227 0.726
Pd 0.227 0.726 0.227
Pd 0.274 0.773 0.773
Pd 0.726 0.227 0.227
Pd 0.773 0.274 0.773
Pd 0.773 0.773 0.274
Pd 0.781 0.781 0.781

=====

Entry 6:
For CeCd2InAu2, a cell relaxed with PBE gives the simulated X-ray powder pattern in this record (Cu Kα).
Intensities are scaled so that the largest is 100.

Main lines, in order of falling intensity (2θ from 10° to 80°):
2θ = 32.92°, intensity 100
2θ = 46.22°, intensity 75
2θ = 23.11°, intensity 55
2θ = 31.52°, intensity 54
2θ = 15.61°, intensity 50
2θ = 57.90°, intensity 38
2θ = 47.24°, intensity 36
2θ = 39.45°, intensity 26

Cell and atoms:
Unit cell a=5.442 b=5.442 c=11.354 alpha=90.00 beta=90.00 gamma=90.00
Fractional positions:
Ce 0.000 0.000 0.000
Ce 0.500 0.500 0.500
Cd 0.000 0.500 0.250
Cd 0.000 0.500 0.750
Cd 0.500 0.000 0.250
Cd 0.500 0.000 0.750
In 0.000 0.000 0.500
In 0.500 0.500 0.000
Au 0.000 0.000 0.261
Au 0.000 0.000 0.739
Au 0.500 0.500 0.239
Au 0.500 0.500 0.761